Diffraction record for BaHf3Zn2. The powder diffraction line list is theoretical, not measured: it uses a structure optimized by DFT (PBE) and a wavelength of 1.5418 Å.

Structure:
Unit cell a=3.333 b=3.333 c=12.507 alpha=90.00 beta=90.00 gamma=90.00
Sites, in units of the cell vectors:
Ba (0.000, 0.000, 0.000)
Hf (0.000, 0.000, 0.333)
Hf (0.500, 0.500, 0.489)
Hf (0.500, 0.500, 0.756)
Zn (0.000, 0.000, 0.629)
Zn (0.500, 0.500, 0.200)

Most intense lines, 2θ = 10–90°, low angle first:
d_spacing  intensity
3.220  24.5
3.127  11.6
2.603  100.0
2.356  57.9
2.280  34.2
1.882  11.1
1.666  19.9
1.424  11.4
1.403  29.3
1.345  12.6

---

Diffraction record for BaHg3. The powder diffraction line list is theoretical, not measured: it uses a structure optimized by DFT (PBE) and a wavelength of 1.5418 Å.

Structure:
Unit cell a=12.035 b=12.035 c=9.722 alpha=90.00 beta=90.00 gamma=90.00
Sites, in units of the cell vectors:
Ba (0.099, 0.599, 0.250)
Ba (0.099, 0.901, 0.750)
Ba (0.250, 0.250, 0.144)
Ba (0.250, 0.250, 0.644)
Ba (0.401, 0.599, 0.750)
Ba (0.401, 0.901, 0.250)
Ba (0.599, 0.099, 0.750)
Ba (0.599, 0.401, 0.250)
Ba (0.750, 0.750, 0.356)
Ba (0.750, 0.750, 0.856)
Ba (0.901, 0.099, 0.250)
Ba (0.901, 0.401, 0.750)
Hg (0.024, 0.646, 0.902)
Hg (0.024, 0.854, 0.402)
Hg (0.055, 0.170, 0.898)
Hg (0.055, 0.330, 0.398)
Hg (0.146, 0.524, 0.598)
Hg (0.146, 0.976, 0.098)
Hg (0.170, 0.055, 0.398)
Hg (0.170, 0.445, 0.898)
Hg (0.250, 0.750, 0.000)
Hg (0.250, 0.750, 0.500)
Hg (0.330, 0.055, 0.898)
Hg (0.330, 0.445, 0.398)
Hg (0.354, 0.524, 0.098)
Hg (0.354, 0.976, 0.598)
Hg (0.445, 0.170, 0.398)
Hg (0.445, 0.330, 0.898)
Hg (0.476, 0.646, 0.402)
Hg (0.476, 0.854, 0.902)
Hg (0.524, 0.146, 0.098)
Hg (0.524, 0.354, 0.598)
Hg (0.555, 0.670, 0.102)
Hg (0.555, 0.830, 0.602)
Hg (0.646, 0.024, 0.402)
Hg (0.646, 0.476, 0.902)
Hg (0.670, 0.555, 0.602)
Hg (0.670, 0.945, 0.102)
Hg (0.750, 0.250, 0.000)
Hg (0.750, 0.250, 0.500)
Hg (0.830, 0.555, 0.102)
Hg (0.830, 0.945, 0.602)
Hg (0.854, 0.024, 0.902)
Hg (0.854, 0.476, 0.402)
Hg (0.945, 0.670, 0.602)
Hg (0.945, 0.830, 0.102)
Hg (0.976, 0.146, 0.598)
Hg (0.976, 0.354, 0.098)

Most intense lines, 2θ = 10–90°, low angle first:
d_spacing  intensity
3.157  44.4
2.997  30.3
2.796  35.4
2.776  100.0
2.752  36.1
2.691  66.3
2.594  56.8
2.325  28.4
1.621  21.7
1.469  26.7